Record 1
Simulated powder diffractogram of Ce5Si4 for a wavelength of 1.5418 Å, from a crystal structure in the Materials Project, relaxed with GGA-PBE.
Intensities are scaled so that the largest is 100.

Most intense lines, 5 to 70 degrees two-theta, low angle first:
2θ (°)  intensity
29.3  63.7
31.5  71.7
33.0  100.0
34.7  58.6
36.6  58.4
52.7  67.5

a = 7.8172 Å, b = 7.8172 Å, c = 14.6274 Å
α = 90.00°, β = 90.00°, γ = 90.00°
Element x y z (fractional)
Ce 0.0041 0.1328 0.1247
Ce 0.0038 0.6398 0.2073
Ce 0.1328 0.0041 0.8753
Ce 0.1398 0.4962 0.9573
Ce 0.1786 0.1786 0.5000
Ce 0.3214 0.6786 0.7500
Ce 0.3602 0.9962 0.2927
Ce 0.3672 0.5041 0.3747
Ce 0.4962 0.1398 0.0427
Ce 0.4959 0.6328 0.1253
Ce 0.5041 0.3672 0.6253
Ce 0.5038 0.8602 0.5427
Ce 0.6328 0.4959 0.8747
Ce 0.6398 0.0038 0.7927
Ce 0.6786 0.3214 0.2500
Ce 0.8214 0.8214 0.0000
Ce 0.8602 0.5038 0.4573
Ce 0.8672 0.9959 0.3753
Ce 0.9962 0.3602 0.7073
Ce 0.9959 0.8672 0.6247
Si 0.0647 0.2983 0.3090
Si 0.1564 0.7919 0.4395
Si 0.2017 0.5647 0.5590
Si 0.2081 0.8436 0.0605
Si 0.2919 0.3436 0.1895
Si 0.2983 0.0647 0.6910
Si 0.3436 0.2919 0.8105
Si 0.4353 0.7983 0.9410
Si 0.5647 0.2017 0.4410
Si 0.6564 0.7081 0.3105
Si 0.7017 0.9353 0.1910
Si 0.7081 0.6564 0.6895
Si 0.7919 0.1564 0.5605
Si 0.7983 0.4353 0.0590
Si 0.8436 0.2081 0.9395
Si 0.9353 0.7017 0.8090

Record 2
Simulated powder diffractogram of CeSi for a wavelength of 1.5418 Å, from a crystal structure in the Materials Project, relaxed with GGA-PBE.
Intensities are scaled so that the largest is 100.

Most intense lines, 5 to 70 degrees two-theta, low angle first:
2θ (°)  intensity
29.7  100.0
31.8  72.9
32.6  84.4
35.4  47.5
36.4  48.7
40.1  40.3

a = 8.1647 Å, b = 3.8942 Å, c = 5.8407 Å
α = 90.00°, β = 90.00°, γ = 90.00°
Element x y z (fractional)
Ce 0.1809 0.2500 0.1161
Ce 0.3191 0.7500 0.6161
Ce 0.6809 0.2500 0.3839
Ce 0.8191 0.7500 0.8839
Si 0.0343 0.2500 0.6221
Si 0.4657 0.7500 0.1221
Si 0.5343 0.2500 0.8779
Si 0.9657 0.7500 0.3779

Record 3
Simulated powder diffractogram of Ce2Si7 for a wavelength of 1.5418 Å, from a crystal structure in the Materials Project, relaxed with GGA-PBE.
Intensities are scaled so that the largest is 100.

Most intense lines, 5 to 70 degrees two-theta, low angle first:
2θ (°)  intensity
26.9  44.4
31.0  44.7
32.4  64.1
36.0  100.0
37.2  94.0
40.6  44.6

a = 6.1115 Å, b = 6.1115 Å, c = 4.4427 Å
α = 90.00°, β = 90.00°, γ = 109.49°
Element x y z (fractional)
Ce 0.2043 0.7957 0.0000
Ce 0.7957 0.2043 0.0000
Si 0.0000 0.0000 0.5000
Si 0.1789 0.4435 0.5000
Si 0.3207 0.3207 0.0000
Si 0.4435 0.1789 0.5000
Si 0.5565 0.8211 0.5000
Si 0.6793 0.6793 0.0000
Si 0.8211 0.5565 0.5000

Record 4
Simulated powder diffractogram of CeSiSn2 for a wavelength of 1.5418 Å, from a crystal structure in the Materials Project, relaxed with GGA-PBE.
Intensities are scaled so that the largest is 100.

Most intense lines, 5 to 70 degrees two-theta, low angle first:
2θ (°)  intensity
24.2  34.9
30.7  34.0
31.9  100.0
35.4  21.8
40.2  25.2
41.7  23.7

a = 12.0014 Å, b = 12.0014 Å, c = 4.3310 Å
α = 90.00°, β = 90.00°, γ = 160.02°
Element x y z (fractional)
Ce 0.1349 0.8651 0.7500
Ce 0.8651 0.1349 0.2500
Si 0.3508 0.6492 0.7500
Si 0.6492 0.3508 0.2500
Sn 0.2507 0.7493 0.2500
Sn 0.4593 0.5407 0.7500
Sn 0.5407 0.4593 0.2500
Sn 0.7493 0.2507 0.7500

Record 5
Simulated powder diffractogram of Ce3Si2Sn3 for a wavelength of 1.5418 Å, from a crystal structure in the Materials Project, relaxed with GGA-PBE.
Intensities are scaled so that the largest is 100.

Most intense lines, 5 to 70 degrees two-theta, low angle first:
2θ (°)  intensity
29.6  100.0
32.1  24.1
35.0  25.7
39.9  66.5
50.4  22.9
62.3  29.7

a = 4.5176 Å, b = 4.5176 Å, c = 23.7965 Å
α = 90.00°, β = 90.00°, γ = 120.00°
Element x y z (fractional)
Ce 0.3333 0.6667 0.0761
Ce 0.3333 0.6667 0.2500
Ce 0.3333 0.6667 0.4239
Ce 0.6667 0.3333 0.5761
Ce 0.6667 0.3333 0.7500
Ce 0.6667 0.3333 0.9239
Si 0.0000 0.0000 0.1677
Si 0.0000 0.0000 0.3323
Si 0.0000 0.0000 0.6677
Si 0.0000 0.0000 0.8323
Sn 0.0000 0.0000 0.0000
Sn 0.0000 0.0000 0.5000
Sn 0.3333 0.6667 0.6590
Sn 0.3333 0.6667 0.8410
Sn 0.6667 0.3333 0.1590
Sn 0.6667 0.3333 0.3410

Record 6
Simulated powder diffractogram of Ce2Si2Sn for a wavelength of 1.5418 Å, from a crystal structure in the Materials Project, relaxed with GGA-PBE.
Intensities are scaled so that the largest is 100.

Most intense lines, 5 to 70 degrees two-theta, low angle first:
2θ (°)  intensity
26.7  34.7
27.5  40.7
32.0  99.1
34.4  100.0
39.3  44.3
41.1  28.9

a = 7.2547 Å, b = 7.2547 Å, c = 4.3875 Å
α = 90.00°, β = 90.00°, γ = 90.00°
Element x y z (fractional)
Ce 0.1780 0.3220 0.0000
Ce 0.3220 0.8220 0.0000
Ce 0.6780 0.1780 0.0000
Ce 0.8220 0.6780 0.0000
Si 0.1155 0.6155 0.5000
Si 0.3845 0.1155 0.5000
Si 0.6155 0.8845 0.5000
Si 0.8845 0.3845 0.5000
Sn 0.0000 0.0000 0.5000
Sn 0.5000 0.5000 0.5000

Record 7
Simulated powder diffractogram of CeY4Si4 for a wavelength of 1.5418 Å, from a crystal structure in the Materials Project, relaxed with GGA-PBE.
Intensities are scaled so that the largest is 100.

Most intense lines, 5 to 70 degrees two-theta, low angle first:
2θ (°)  intensity
27.5  37.3
32.2  69.2
32.6  100.0
34.0  58.3
34.3  32.9
38.4  33.0

a = 7.3860 Å, b = 7.6484 Å, c = 14.5788 Å
α = 90.00°, β = 90.00°, γ = 90.00°
Element x y z (fractional)
Ce 0.2213 0.1813 0.3484
Ce 0.2787 0.8187 0.8484
Ce 0.7213 0.3187 0.6516
Ce 0.7787 0.6813 0.1516
Y 0.0645 0.6777 0.6280
Y 0.0661 0.6791 0.3720
Y 0.1035 0.5130 0.0000
Y 0.2214 0.1818 0.6501
Y 0.2786 0.8182 0.1501
Y 0.3965 0.4870 0.5000
Y 0.4339 0.3209 0.8720
Y 0.4355 0.3223 0.1280
Y 0.5645 0.8223 0.3720
Y 0.5661 0.8209 0.6280
Y 0.6035 0.9870 0.0000
Y 0.7214 0.3182 0.3499
Y 0.7786 0.6818 0.8499
Y 0.8965 0.0130 0.5000
Y 0.9339 0.1791 0.1280
Y 0.9355 0.1777 0.8720
Si 0.0132 0.3747 0.4993
Si 0.1043 0.4712 0.7904
Si 0.1072 0.4740 0.2092
Si 0.2306 0.1072 0.0000
Si 0.2694 0.8928 0.5000
Si 0.3928 0.5260 0.7092
Si 0.3957 0.5288 0.2904
Si 0.4868 0.6253 0.9993
Si 0.5132 0.1253 0.5007
Si 0.6043 0.0288 0.2096
Si 0.6072 0.0260 0.7908
Si 0.7306 0.3928 0.0000
Si 0.7694 0.6072 0.5000
Si 0.8928 0.9740 0.2908
Si 0.8957 0.9712 0.7096
Si 0.9868 0.8747 0.0007

Record 8
Simulated powder diffractogram of CeZnSi for a wavelength of 1.5418 Å, from a crystal structure in the Materials Project, relaxed with GGA-PBE.
Intensities are scaled so that the largest is 100.

Most intense lines, 5 to 70 degrees two-theta, low angle first:
2θ (°)  intensity
24.5  26.1
32.9  100.0
43.1  36.1
44.1  11.3
55.2  22.4
63.3  22.4

a = 4.1994 Å, b = 4.1994 Å, c = 4.1107 Å
α = 90.00°, β = 90.00°, γ = 120.00°
Element x y z (fractional)
Ce 0.0000 0.0000 0.0000
Zn 0.3333 0.6667 0.5000
Si 0.6667 0.3333 0.5000

Record 9
Simulated powder diffractogram of Ce3Sm for a wavelength of 1.5418 Å, from a crystal structure in the Materials Project, relaxed with GGA-PBE.
Intensities are scaled so that the largest is 100.

Most intense lines, 5 to 70 degrees two-theta, low angle first:
2θ (°)  intensity
31.9  100.0
36.6  17.3
37.2  33.0
53.2  23.6
62.9  14.2
63.8  27.2

a = 5.9846 Å, b = 5.9846 Å, c = 5.9846 Å
α = 132.40°, β = 132.40°, γ = 69.60°
Element x y z (fractional)
Ce 0.0000 0.0000 0.0000
Ce 0.2500 0.7500 0.5000
Ce 0.7500 0.2500 0.5000
Sm 0.5000 0.5000 0.0000

Record 10
Simulated powder diffractogram of CeSmZn2 for a wavelength of 1.5418 Å, from a crystal structure in the Materials Project, relaxed with GGA-PBE.
Intensities are scaled so that the largest is 100.

Most intense lines, 5 to 70 degrees two-theta, low angle first:
2θ (°)  intensity
24.1  14.0
34.4  100.0
42.5  4.3
49.5  17.7
55.8  6.0
61.6  36.1

a = 5.2119 Å, b = 5.2119 Å, c = 5.2119 Å
α = 60.00°, β = 60.00°, γ = 60.00°
Element x y z (fractional)
Ce 0.0000 0.0000 0.0000
Sm 0.5000 0.5000 0.5000
Zn 0.2500 0.2500 0.2500
Zn 0.7500 0.7500 0.7500

Record 11
Simulated powder diffractogram of Ce5Sn4 for a wavelength of 1.5418 Å, from a crystal structure in the Materials Project, relaxed with GGA-PBE.
Intensities are scaled so that the largest is 100.

Most intense lines, 5 to 70 degrees two-theta, low angle first:
2θ (°)  intensity
29.0  100.0
29.2  69.8
30.1  52.4
30.8  64.0
32.8  62.8
34.0  62.5

a = 8.3473 Å, b = 15.9639 Å, c = 8.4593 Å
α = 90.00°, β = 90.00°, γ = 90.00°
Element x y z (fractional)
Ce 0.0151 0.0946 0.2001
Ce 0.0151 0.4054 0.2001
Ce 0.1235 0.6223 0.3371
Ce 0.1235 0.8777 0.3371
Ce 0.1934 0.2500 0.5116
Ce 0.3066 0.7500 0.0116
Ce 0.3765 0.1223 0.8371
Ce 0.3765 0.3777 0.8371
Ce 0.4849 0.5946 0.7001
Ce 0.4849 0.9054 0.7001
Ce 0.5151 0.0946 0.2999
Ce 0.5151 0.4054 0.2999
Ce 0.6235 0.6223 0.1629
Ce 0.6235 0.8777 0.1629
Ce 0.6934 0.2500 0.9884
Ce 0.8066 0.7500 0.4884
Ce 0.8765 0.1223 0.6629
Ce 0.8765 0.3777 0.6629
Ce 0.9849 0.5946 0.7999
Ce 0.9849 0.9054 0.7999
Sn 0.0684 0.2500 0.9050
Sn 0.1770 0.7500 0.6486
Sn 0.2180 0.0413 0.5322
Sn 0.2180 0.4587 0.5322
Sn 0.2820 0.5413 0.0322
Sn 0.2820 0.9587 0.0322
Sn 0.3230 0.2500 0.1486
Sn 0.4316 0.7500 0.4050
Sn 0.5684 0.2500 0.5950
Sn 0.6770 0.7500 0.8514
Sn 0.7180 0.0413 0.9678
Sn 0.7180 0.4587 0.9678
Sn 0.7820 0.5413 0.4678
Sn 0.7820 0.9587 0.4678
Sn 0.8230 0.2500 0.3514
Sn 0.9316 0.7500 0.0950

Record 12
Simulated powder diffractogram of Ce3Sn7 for a wavelength of 1.5418 Å, from a crystal structure in the Materials Project, relaxed with GGA-PBE.
Intensities are scaled so that the largest is 100.

Most intense lines, 5 to 70 degrees two-theta, low angle first:
2θ (°)  intensity
32.7  100.0
35.4  16.4
38.8  16.9
39.3  16.2
66.3  13.4
67.1  13.0

a = 12.8777 Å, b = 12.8777 Å, c = 4.6445 Å
α = 90.00°, β = 90.00°, γ = 159.51°
Element x y z (fractional)
Ce 0.0000 0.0000 0.0000
Ce 0.1853 0.8147 0.0000
Ce 0.8147 0.1853 0.0000
Sn 0.0960 0.9040 0.5000
Sn 0.2916 0.7084 0.5000
Sn 0.4049 0.5950 0.0000
Sn 0.5000 0.5000 0.5000
Sn 0.5950 0.4049 0.0000
Sn 0.7084 0.2916 0.5000
Sn 0.9040 0.0960 0.5000